1.
Structure and computed PXRD pattern of KNaCo2F8 (a GGA+U-relaxed structure; Cu Kα).
Intensities are scaled so that the largest is 100.

Largest 8 diffraction maxima, in order of rising 2θ, 2θ from 15° to 90°:
2θ/deg  Rel. int.
22.6  90.8
30.7  100.0
33.9  33.5
38.4  40.0
42.3  78.0
49.9  26.1
53.9  28.1
54.5  43.8

Structure:
```
KNaCo2F8
1.0
5.8333 0.0000 0.0000
-2.9166 5.0518 0.0000
0.0000 0.0000 6.2828
K Na Co F
1 1 2 8
Cartesian
0.0000 0.0000 0.0000
0.0000 0.0000 3.1414
0.0000 3.3679 2.9029
2.9167 1.6839 3.3799
-0.6888 1.9367 3.9848
-0.8950 4.6800 3.9848
0.0000 3.3679 1.0941
1.3328 1.5649 2.2980
1.5838 3.4869 3.9848
2.9167 1.6839 5.1887
3.8116 0.3718 2.2980
3.6055 3.1151 2.2980
```



2.
Structure and computed PXRD pattern of KCoNiF6 (a GGA+U-relaxed structure; Cu Kα).
Intensities are scaled so that the largest is 100.

Largest 8 diffraction maxima, in order of rising 2θ, 2θ from 15° to 90°:
2θ/deg  Rel. int.
15.1  42.9
29.0  100.0
29.2  41.8
30.2  29.2
30.5  42.4
46.5  18.1
50.7  46.5
60.1  16.3

Structure:
```
KCoNiF6
1.0
-3.5721 3.6228 5.1068
3.5721 -3.6228 5.1068
3.5721 3.6228 -5.1068
K Co Ni F
2 2 2 12
Cartesian
0.0000 1.8114 1.1389
3.5721 1.8114 3.9679
3.5721 0.0000 0.0000
0.0000 0.0000 5.1068
1.7860 1.8114 -2.5534
1.7860 -1.8114 2.5534
3.5721 -1.8114 3.3956
2.1884 -0.3036 1.2858
4.9557 -0.3036 1.2858
3.5721 1.8114 0.5801
2.1884 3.3192 -1.2858
1.3837 -0.3036 3.8211
2.1884 3.9264 1.2858
1.3837 0.3036 6.3926
0.0000 1.8114 4.5267
-1.3837 3.9264 3.8211
1.3837 3.9264 3.8211
0.0000 5.4342 1.7112
```



3.
Structure and computed PXRD pattern of K2Co3PbF12 (a GGA+U-relaxed structure; Cu Kα).
Intensities are scaled so that the largest is 100.

Largest 8 diffraction maxima, in order of rising 2θ, 2θ from 15° to 90°:
2θ/deg  Rel. int.
28.2  100.0
28.8  33.3
29.3  53.8
30.4  24.5
38.1  22.3
44.6  35.4
48.6  39.2
50.0  21.3

Structure:
```
K2Co3PbF12
1.0
3.7471 2.1634 5.8786
-3.7471 2.1634 5.8786
0.0000 -4.3268 5.8786
K Co Pb F
2 3 1 12
Cartesian
0.0000 0.0000 2.1921
0.0000 0.0000 15.4437
-1.8736 -1.0817 5.8786
-1.8736 1.0817 11.7572
0.0000 2.1634 5.8786
0.0000 0.0000 8.8179
-2.0203 -1.1664 7.8210
0.0000 -1.6305 6.1268
-1.4120 0.8152 6.1268
0.0000 -2.3328 9.8148
-2.0203 1.1664 9.8148
-1.4120 -0.8152 11.5090
1.4120 0.8152 6.1268
2.0203 -1.1664 7.8210
0.0000 2.3328 7.8210
1.4120 -0.8152 11.5090
0.0000 1.6305 11.5090
2.0203 1.1664 9.8148
```



4.
Structure and computed PXRD pattern of KCoPbF6 (a GGA+U-relaxed structure; Cu Kα).
Intensities are scaled so that the largest is 100.

Largest 8 diffraction maxima, in order of rising 2θ, 2θ from 15° to 90°:
2θ/deg  Rel. int.
18.2  49.3
18.3  57.9
25.9  100.0
32.0  53.0
37.1  56.3
41.5  28.1
41.7  67.1
53.5  27.8

Structure:
```
KCoPbF6
1.0
5.5880 0.0000 0.0000
-2.7940 4.8394 0.0000
0.0000 0.0000 4.8726
K Co Pb F
1 1 1 6
Cartesian
0.0000 0.0000 0.0000
2.7940 1.6131 3.2445
0.0000 3.2262 2.4560
1.4328 0.8796 2.2165
2.7589 0.0298 4.2630
1.4404 2.4352 4.2630
4.1099 0.8011 2.2165
2.8393 3.1587 2.2165
4.1828 2.3744 4.2630
```



5.
Structure and computed PXRD pattern of K2PmCo3F12 (a GGA+U-relaxed structure; Cu Kα).
Intensities are scaled so that the largest is 100.

Largest 8 diffraction maxima, in order of rising 2θ, 2θ from 15° to 90°:
2θ/deg  Rel. int.
28.7  100.0
29.4  61.1
30.3  33.4
32.6  26.3
38.0  21.7
44.7  38.6
48.2  58.1
52.5  26.5

Structure:
```
K2PmCo3F12
1.0
3.7781 2.1813 5.4972
-3.7781 2.1813 5.4972
0.0000 -4.3626 5.4972
K Pm Co F
2 1 3 12
Cartesian
0.0000 0.0000 1.9209
0.0000 0.0000 14.5708
0.0000 0.0000 8.2459
-1.8891 -1.0907 5.4972
-1.8891 1.0907 10.9945
0.0000 2.1813 5.4972
-1.9710 -1.1380 7.4756
0.0000 -1.6310 5.8558
-1.4125 0.8155 5.8558
0.0000 -2.2759 9.0161
-1.9710 1.1380 9.0161
-1.4125 -0.8155 10.6359
1.4125 0.8155 5.8558
1.9710 -1.1380 7.4756
0.0000 2.2759 7.4756
1.4125 -0.8155 10.6359
0.0000 1.6310 10.6359
1.9710 1.1380 9.0161
```



6.
Structure and computed PXRD pattern of K2Co3RhF12 (a GGA+U-relaxed structure; Cu Kα).
Intensities are scaled so that the largest is 100.

Largest 8 diffraction maxima, in order of rising 2θ, 2θ from 15° to 90°:
2θ/deg  Rel. int.
28.4  51.8
28.5  100.0
29.6  18.4
29.9  62.6
45.5  28.1
49.5  39.2
49.9  38.6
69.8  20.7

Structure:
```
K2Co3RhF12
1.0
3.6570 2.1114 6.0415
-3.6570 2.1114 6.0415
0.0000 -4.2228 6.0415
K Co Rh F
2 3 1 12
Cartesian
0.0000 0.0000 2.1182
0.0000 0.0000 16.0063
-1.8285 -1.0557 6.0415
-1.8285 1.0557 12.0830
0.0000 2.1114 6.0415
0.0000 0.0000 9.0622
-1.4892 -0.8598 8.0395
0.0000 -1.6762 5.5928
-1.4516 0.8381 5.5928
0.0000 -1.7195 10.0850
-1.4892 0.8598 10.0850
-1.4516 -0.8381 12.5317
1.4516 0.8381 5.5928
1.4892 -0.8598 8.0395
0.0000 1.7195 8.0395
1.4516 -0.8381 12.5317
0.0000 1.6762 12.5317
1.4892 0.8598 10.0850
```



7.
Structure and computed PXRD pattern of K2ScCoF6 (a GGA+U-relaxed structure; Cu Kα).
Intensities are scaled so that the largest is 100.

Largest 8 diffraction maxima, in order of rising 2θ, 2θ from 15° to 90°:
2θ/deg  Rel. int.
20.9  23.9
29.8  100.0
36.7  13.8
42.5  24.1
42.7  47.8
52.9  35.5
61.8  32.6
78.0  11.6

Structure:
```
K2ScCoF6
1.0
5.9937 0.0000 0.0000
0.0000 8.5021 0.0000
0.0000 0.0000 5.9956
K Sc Co F
4 2 2 12
Cartesian
1.4984 0.0004 1.4967
1.4984 4.2507 1.4967
4.4953 8.5017 4.4989
4.4953 4.2514 4.4989
1.4984 2.1255 4.4922
4.4953 6.3766 1.5034
1.4984 6.3766 4.5001
4.4953 2.1255 1.4955
0.0604 2.1255 5.9276
0.0633 2.1255 3.0544
1.4984 0.0940 4.4951
1.4984 4.1570 4.4951
2.9336 2.1255 3.0544
2.9365 2.1255 5.9276
3.0572 6.3766 0.0680
3.0601 6.3766 2.9412
4.4953 4.3451 1.5005
4.4953 8.4081 1.5005
5.9304 6.3766 2.9412
5.9333 6.3766 0.0680
```



8.
Structure and computed PXRD pattern of K2SrCoF6 (a GGA+U-relaxed structure; Cu Kα).
Intensities are scaled so that the largest is 100.

Largest 8 diffraction maxima, in order of rising 2θ, 2θ from 15° to 90°:
2θ/deg  Rel. int.
20.0  42.1
20.2  22.7
27.4  25.6
28.5  100.0
29.3  27.4
40.6  52.8
41.0  28.8
59.0  27.0

Structure:
```
K2SrCoF6
1.0
6.1013 0.0000 0.0000
0.0000 8.8101 0.0000
0.0000 0.0000 6.4996
K Sr Co F
4 2 2 12
Cartesian
1.5253 0.2369 1.3160
1.5253 4.1682 1.3160
4.5760 4.6419 5.1835
4.5760 8.5732 5.1835
1.5253 2.2025 4.6566
4.5760 6.6076 1.8429
1.5253 6.6076 5.0409
4.5760 2.2025 1.4587
0.0076 6.6076 3.6562
0.0816 6.6076 0.0493
1.5253 4.5524 5.0757
1.5253 8.6627 5.0757
2.9691 6.6076 0.0493
3.0430 6.6076 3.6562
3.0583 2.2025 2.8434
3.1323 2.2025 6.4502
4.5760 0.1474 1.4239
4.5760 4.2577 1.4239
6.0197 2.2025 6.4502
6.0937 2.2025 2.8434
```



9.
Structure and computed PXRD pattern of KCo2WF8 (a GGA+U-relaxed structure; Cu Kα).
Intensities are scaled so that the largest is 100.

Largest 8 diffraction maxima, in order of rising 2θ, 2θ from 15° to 90°:
2θ/deg  Rel. int.
19.3  43.4
24.7  100.0
33.0  46.6
37.2  32.4
41.6  24.6
54.2  22.3
59.0  18.1
59.8  28.6

Structure:
```
KCo2WF8
1.0
2.7121 1.5659 7.5272
-2.7121 1.5659 7.5272
0.0000 -3.1317 7.5272
K Co W F
1 2 1 8
Cartesian
0.0000 0.0000 0.0000
0.0000 0.0000 5.6382
0.0000 0.0000 16.9436
0.0000 0.0000 11.2909
-1.7493 0.0136 10.0882
-0.8864 -1.5082 12.4935
0.0000 0.0000 7.4951
0.8629 -1.5218 10.0882
-0.8629 1.5218 12.4935
0.0000 0.0000 15.0866
0.8864 1.5082 10.0883
1.7493 -0.0136 12.4935
```



10.
Structure and computed PXRD pattern of LaCoO2F (a GGA+U-relaxed structure; Cu Kα).
Intensities are scaled so that the largest is 100.

Largest 8 diffraction maxima, in order of rising 2θ, 2θ from 15° to 90°:
2θ/deg  Rel. int.
31.6  55.0
31.9  100.0
39.2  28.4
45.3  36.0
46.3  16.8
56.5  39.4
57.1  20.4
66.8  20.5

Structure:
```
LaCoO2F
1.0
4.0036 0.0000 0.0000
0.0000 4.0036 0.0000
0.0000 0.0000 3.9234
La Co O F
1 1 2 1
Cartesian
0.0000 0.0000 0.0000
2.0018 2.0018 1.9617
0.0000 2.0018 1.9617
2.0018 0.0000 1.9617
2.0018 2.0018 0.0000
```



11.
Structure and computed PXRD pattern of LiCoF3 (a GGA+U-relaxed structure; Cu Kα).
Intensities are scaled so that the largest is 100.

Largest 8 diffraction maxima, in order of rising 2θ, 2θ from 15° to 90°:
2θ/deg  Rel. int.
23.3  100.0
31.2  37.2
35.0  14.9
42.7  14.0
47.6  17.5
50.9  45.6
56.1  14.1
62.8  17.6

Structure:
```
LiCoF3
1.0
5.1281 0.0000 0.0000
-2.5640 4.4411 0.0000
0.0000 0.0000 7.5236
Li Co F
3 3 9
Cartesian
0.0000 0.0000 0.0000
0.0000 0.0000 2.3519
0.0000 2.9607 6.9632
0.0000 0.0000 4.8953
0.0000 2.9607 2.5333
2.5640 1.4804 0.0010
-0.7826 1.5175 1.0765
-1.6840 3.1931 3.5524
0.6408 1.3861 3.5524
0.8494 1.3341 6.3627
-0.8585 4.3600 1.0765
1.6411 3.0045 1.0765
1.0432 4.3029 3.5524
3.5480 0.0686 6.3627
3.2947 3.0383 6.3627
```



12.
Structure and computed PXRD pattern of Li2Co2F7 (a GGA+U-relaxed structure; Cu Kα).
Intensities are scaled so that the largest is 100.

Largest 8 diffraction maxima, in order of rising 2θ, 2θ from 15° to 90°:
2θ/deg  Rel. int.
17.4  100.0
24.2  33.1
29.9  29.8
32.0  18.3
32.5  29.2
49.5  14.4
51.3  23.1
52.0  18.7

Structure:
```
Li2Co2F7
1.0
3.3112 -3.6844 0.0000
3.3112 3.6844 0.0000
-0.0809 0.0000 5.0927
Li Co F
2 2 7
Cartesian
1.3166 0.0000 2.3001
5.2250 0.0000 2.7926
3.3112 1.9833 0.0000
3.3112 -1.9833 0.0000
1.6254 1.5961 1.2256
0.2556 0.0000 3.9223
1.6254 -1.5961 1.2256
3.3112 0.0000 0.0000
4.9162 1.5961 3.8671
6.2860 0.0000 1.1704
4.9162 -1.5961 3.8671
```